Record 1
Starting from a DFT-relaxed cell (GGA-PBE, the Materials Project), the X-ray powder pattern of DyInPt4 was calculated for Cu Kα X-rays.

Main lines, low angle first (2θ = 10–90°):
2θ (°)  d [Å]  I_rel
20.11  4.415  19
33.14  2.704  18
39.07  2.306  100
40.88  2.207  52
63.18  1.472  33
69.54  1.352  30
82.77  1.166  12
83.94  1.153  20

Structural model:
Cell lengths 5.407, 5.407, 5.407 Å; angles 60.00, 60.00, 60.00 degrees
Positions (direct):
Dy 0.000 0.000 0.000
In 0.250 0.250 0.250
Pt 0.126 0.625 0.625
Pt 0.625 0.126 0.625
Pt 0.625 0.625 0.126
Pt 0.625 0.625 0.625

=====

Record 2
Starting from a DFT-relaxed cell (GGA-PBE, the Materials Project), the X-ray powder pattern of SrWN3 was calculated for Cu Kα X-rays.

Main lines, low angle first (2θ = 10–90°):
2θ (°)  d [Å]  I_rel
16.49  5.376  67
28.58  3.123  100
28.69  3.112  89
29.84  2.994  95
30.32  2.947  90
32.26  2.775  71
33.34  2.688  67
36.41  2.468  53

Structural model:
Cell lengths 3.694, 6.403, 6.724 Å; angles 110.44, 96.78, 90.93 degrees
Positions (direct):
Sr 0.000 0.000 0.000
Sr 0.071 0.530 0.468
W 0.480 0.509 0.979
W 0.559 0.030 0.473
N 0.074 0.101 0.421
N 0.519 0.334 0.140
N 0.526 0.808 0.163
N 0.578 0.858 0.636
N 0.655 0.371 0.681
N 0.954 0.487 0.844

=====

Record 3
Starting from a DFT-relaxed cell (GGA-PBE, the Materials Project), the X-ray powder pattern of Y2MgAl was calculated for Cu Kα X-rays.

Main lines, low angle first (2θ = 10–90°):
2θ (°)  d [Å]  I_rel
24.15  3.684  38
34.42  2.605  100
42.50  2.127  11
49.48  1.842  17
55.79  1.648  15
61.66  1.504  35
72.57  1.303  11
82.85  1.165  15

Structural model:
Cell lengths 5.211, 5.211, 5.211 Å; angles 60.00, 60.00, 60.00 degrees
Positions (direct):
Y 0.250 0.250 0.250
Y 0.750 0.750 0.750
Mg 0.000 0.000 0.000
Al 0.500 0.500 0.500

=====

Record 4
Starting from a DFT-relaxed cell (GGA-PBE, the Materials Project), the X-ray powder pattern of MgTi3H8 was calculated for Cu Kα X-rays.

Main lines, low angle first (2θ = 10–90°):
2θ (°)  d [Å]  I_rel
19.91  4.460  6
28.30  3.154  5
34.84  2.575  100
40.45  2.230  42
58.53  1.577  32
69.95  1.345  33
73.56  1.288  9
87.47  1.115  4

Structural model:
Cell lengths 4.460, 4.460, 4.460 Å; angles 90.00, 90.00, 90.00 degrees
Positions (direct):
Mg 0.000 0.000 0.000
Ti 0.000 0.500 0.500
Ti 0.500 0.000 0.500
Ti 0.500 0.500 0.000
H 0.254 0.254 0.254
H 0.254 0.254 0.746
H 0.254 0.746 0.254
H 0.254 0.746 0.746
H 0.746 0.254 0.254
H 0.746 0.254 0.746
H 0.746 0.746 0.254
H 0.746 0.746 0.746

=====

Record 5
Starting from a DFT-relaxed cell (GGA-PBE, the Materials Project), the X-ray powder pattern of Eu2MgSe4 was calculated for Cu Kα X-rays.

Main lines, low angle first (2θ = 10–90°):
2θ (°)  d [Å]  I_rel
12.82  6.905  52
24.69  3.606  51
29.88  2.990  100
39.14  2.302  23
42.77  2.114  88
53.05  1.726  26
70.41  1.337  34
78.33  1.221  29

Structural model:
Cell lengths 8.457, 8.457, 8.457 Å; angles 60.00, 60.00, 60.00 degrees
Positions (direct):
Eu 0.000 0.000 0.000
Eu 0.000 0.000 0.500
Eu 0.000 0.500 0.000
Eu 0.500 0.000 0.000
Mg 0.375 0.375 0.375
Mg 0.625 0.625 0.625
Se 0.243 0.752 0.752
Se 0.248 0.248 0.248
Se 0.248 0.248 0.757
Se 0.248 0.757 0.248
Se 0.752 0.243 0.752
Se 0.752 0.752 0.243
Se 0.752 0.752 0.752
Se 0.757 0.248 0.248

=====

Record 6
Starting from a DFT-relaxed cell (GGA-PBE, the Materials Project), the X-ray powder pattern of K3SmCl6 was calculated for Cu Kα X-rays.

Main lines, low angle first (2θ = 10–90°):
2θ (°)  d [Å]  I_rel
13.51  6.554  66
15.61  5.676  80
22.15  4.014  84
26.03  3.423  28
31.52  2.838  100
35.36  2.538  39
38.86  2.317  37
45.18  2.007  66

Structural model:
Cell lengths 8.027, 8.027, 8.027 Å; angles 60.00, 60.00, 60.00 degrees
Positions (direct):
K 0.000 0.000 0.000
K 0.250 0.250 0.250
K 0.750 0.750 0.750
Sm 0.500 0.500 0.500
Cl 0.263 0.263 0.737
Cl 0.263 0.737 0.263
Cl 0.263 0.737 0.737
Cl 0.737 0.263 0.263
Cl 0.737 0.263 0.737
Cl 0.737 0.737 0.263

=====

Record 7
Starting from a DFT-relaxed cell (GGA-PBE, the Materials Project), the X-ray powder pattern of Ba3GeO5 was calculated for Cu Kα X-rays.

Main lines, low angle first (2θ = 10–90°):
2θ (°)  d [Å]  I_rel
27.99  3.188  38
28.46  3.136  100
30.30  2.949  32
34.25  2.618  27
35.44  2.533  46
46.38  1.958  22
51.47  1.775  16
52.71  1.737  19

Structural model:
Cell lengths 7.887, 7.887, 7.887 Å; angles 124.01, 124.01, 83.18 degrees
Positions (direct):
Ba 0.182 0.682 0.863
Ba 0.250 0.250 0.000
Ba 0.318 0.182 0.500
Ba 0.682 0.818 0.500
Ba 0.750 0.750 0.000
Ba 0.818 0.318 0.137
Ge 0.250 0.750 0.500
Ge 0.750 0.250 0.500
O 0.000 0.000 0.000
O 0.023 0.792 0.500
O 0.208 0.708 0.231
O 0.292 0.523 0.500
O 0.477 0.977 0.769
O 0.500 0.500 0.000
O 0.523 0.023 0.231
O 0.708 0.477 0.500
O 0.792 0.292 0.769
O 0.977 0.208 0.500